# 1
Computed powder X-ray diffraction pattern of BaInGaPd for λ = 1.5418 Å (Cu Kα), from a cell relaxed with GGA-PBE.

Peak list (10 most intense, 10 to 80 degrees two-theta, most intense first)
33.2°, rel. 100
39.8°, rel. 92
29.8°, rel. 62
23.2°, rel. 38
14.3°, rel. 29
52.7°, rel. 26
49.8°, rel. 26
68.0°, rel. 24
28.8°, rel. 20
54.5°, rel. 16

Atomic structure:
Cell lengths 4.5333, 4.5333, 18.6202 Å; angles 90.00, 90.00, 120.00 degrees
Sites, in units of the cell vectors:
Ba (0.0000, 0.0000, 0.0000)
Ba (0.3333, 0.6667, 0.6667)
Ba (0.6667, 0.3333, 0.3333)
In (0.0000, 0.0000, 0.2000)
In (0.3333, 0.6667, 0.8666)
In (0.6667, 0.3333, 0.5333)
Ga (0.0000, 0.0000, 0.4583)
Ga (0.3333, 0.6667, 0.1249)
Ga (0.6667, 0.3333, 0.7916)
Pd (0.0000, 0.0000, 0.8044)
Pd (0.3333, 0.6667, 0.4710)
Pd (0.6667, 0.3333, 0.1377)

# 2
Computed powder X-ray diffraction pattern of Tl2CdHg2Pb for λ = 1.5418 Å (Cu Kα), from a cell relaxed with GGA-PBE.

Peak list (10 most intense, 10 to 80 degrees two-theta, most intense first)
39.2°, rel. 100
34.4°, rel. 99
28.9°, rel. 97
35.5°, rel. 77
32.2°, rel. 68
30.1°, rel. 64
51.6°, rel. 64
37.8°, rel. 31
31.6°, rel. 30
26.7°, rel. 29

Atomic structure:
Cell lengths 9.5273, 9.5273, 9.5273 Å; angles 141.00, 57.84, 139.04 degrees
Sites, in units of the cell vectors:
Tl (0.1709, 0.2145, 0.3855)
Tl (0.3291, 0.7145, 0.0436)
Tl (0.6709, 0.2855, 0.9564)
Tl (0.8291, 0.7855, 0.6145)
Cd (0.2500, 0.7500, 0.5000)
Cd (0.7500, 0.2500, 0.5000)
Hg (0.1402, 0.7103, 0.8505)
Hg (0.3598, 0.2103, 0.5702)
Hg (0.6402, 0.7897, 0.4298)
Hg (0.8598, 0.2897, 0.1495)
Pb (0.2500, 0.2500, 0.0000)
Pb (0.7500, 0.7500, 0.0000)

# 3
Computed powder X-ray diffraction pattern of Ca3Tl2Cd4 for λ = 1.5418 Å (Cu Kα), from a cell relaxed with GGA-PBE.

Peak list (10 most intense, 10 to 80 degrees two-theta, most intense first)
35.6°, rel. 100
31.9°, rel. 87
43.5°, rel. 63
24.3°, rel. 51
20.3°, rel. 37
62.6°, rel. 24
48.5°, rel. 22
63.9°, rel. 17
61.6°, rel. 12
49.7°, rel. 12

Atomic structure:
Cell lengths 6.2349, 6.2349, 9.4909 Å; angles 114.75, 114.75, 47.69 degrees
Sites, in units of the cell vectors:
Ca (0.0000, 0.0000, 0.0000)
Ca (0.3346, 0.3346, 0.3321)
Ca (0.6654, 0.6654, 0.6679)
Tl (0.3882, 0.3882, 0.7244)
Tl (0.6118, 0.6118, 0.2756)
Cd (0.0596, 0.0596, 0.3963)
Cd (0.2805, 0.2805, 0.9533)
Cd (0.7195, 0.7195, 0.0467)
Cd (0.9404, 0.9404, 0.6037)

# 4
Computed powder X-ray diffraction pattern of Tl4SICl for λ = 1.5418 Å (Cu Kα), from a cell relaxed with GGA-PBE.

Peak list (10 most intense, 10 to 80 degrees two-theta, most intense first)
26.7°, rel. 100
23.0°, rel. 96
28.3°, rel. 76
35.2°, rel. 72
24.0°, rel. 64
27.0°, rel. 50
31.9°, rel. 45
33.1°, rel. 45
48.6°, rel. 45
37.7°, rel. 42

Atomic structure:
Cell lengths 8.2263, 7.3034, 8.7856 Å; angles 90.00, 95.87, 90.00 degrees
Sites, in units of the cell vectors:
Tl (0.0259, 0.2500, 0.3795)
Tl (0.1320, 0.2500, 0.8771)
Tl (0.3701, 0.0060, 0.2618)
Tl (0.3701, 0.4940, 0.2618)
Tl (0.6299, 0.5060, 0.7382)
Tl (0.6299, 0.9940, 0.7382)
Tl (0.8680, 0.7500, 0.1229)
Tl (0.9741, 0.7500, 0.6205)
S (0.1253, 0.7500, 0.3581)
S (0.8747, 0.2500, 0.6419)
I (0.2778, 0.7500, 0.9285)
I (0.7222, 0.2500, 0.0715)
Cl (0.3644, 0.2500, 0.6083)
Cl (0.6356, 0.7500, 0.3917)

# 5
Computed powder X-ray diffraction pattern of Pm3Bi3H for λ = 1.5418 Å (Cu Kα), from a cell relaxed with GGA-PBE.

Peak list (10 most intense, 10 to 80 degrees two-theta, most intense first)
30.2°, rel. 100
35.3°, rel. 99
26.0°, rel. 84
21.7°, rel. 44
32.3°, rel. 44
32.6°, rel. 43
25.4°, rel. 42
19.3°, rel. 37
33.6°, rel. 29
41.5°, rel. 28

Atomic structure:
Cell lengths 8.2502, 8.2502, 6.5640 Å; angles 91.67, 91.67, 112.21 degrees
Sites, in units of the cell vectors:
Pm (0.0888, 0.0888, 0.2772)
Pm (0.1644, 0.4417, 0.7591)
Pm (0.4417, 0.1644, 0.7591)
Pm (0.5583, 0.8356, 0.2409)
Pm (0.8356, 0.5583, 0.2409)
Pm (0.9112, 0.9112, 0.7228)
Bi (0.1906, 0.8094, 0.0000)
Bi (0.2068, 0.7932, 0.5000)
Bi (0.4137, 0.4137, 0.2327)
Bi (0.5863, 0.5863, 0.7673)
Bi (0.7932, 0.2068, 0.5000)
Bi (0.8094, 0.1906, 0.0000)
H (0.1678, 0.1678, 0.6521)
H (0.8322, 0.8322, 0.3479)

# 6
Computed powder X-ray diffraction pattern of Tc3SnN for λ = 1.5418 Å (Cu Kα), from a cell relaxed with GGA-PBE.

Peak list (10 most intense, 10 to 80 degrees two-theta, most intense first)
37.1°, rel. 100
37.3°, rel. 50
41.4°, rel. 40
37.7°, rel. 40
41.9°, rel. 40
46.6°, rel. 17
60.2°, rel. 16
37.8°, rel. 14
73.4°, rel. 13
73.3°, rel. 11

Atomic structure:
Cell lengths 4.9155, 5.2530, 6.1533 Å; angles 72.27, 89.83, 76.09 degrees
Sites, in units of the cell vectors:
Tc (0.0000, 0.0000, 0.0000)
Tc (0.0076, 0.0121, 0.4903)
Tc (0.5169, 0.0536, 0.7396)
Tc (0.5281, 0.0098, 0.2454)
Tc (0.8130, 0.5280, 0.1048)
Tc (0.9327, 0.4265, 0.6411)
Sn (0.3413, 0.5561, 0.8588)
Sn (0.3550, 0.5240, 0.3628)
N (0.1274, 0.1991, 0.1864)
N (0.7131, 0.8159, 0.5612)

# 7
Computed powder X-ray diffraction pattern of CsHg2TeRh for λ = 1.5418 Å (Cu Kα), from a cell relaxed with GGA-PBE.

Peak list (10 most intense, 10 to 80 degrees two-theta, most intense first)
28.6°, rel. 100
32.9°, rel. 67
47.8°, rel. 47
33.7°, rel. 32
56.2°, rel. 31
59.3°, rel. 25
47.2°, rel. 25
16.7°, rel. 18
57.2°, rel. 15
77.2°, rel. 13

Atomic structure:
Cell lengths 5.4416, 5.4416, 5.3238 Å; angles 90.00, 90.00, 90.00 degrees
Sites, in units of the cell vectors:
Cs (0.0000, 0.0000, 0.0000)
Hg (0.0000, 0.5000, 0.5000)
Hg (0.5000, 0.0000, 0.5000)
Te (0.5000, 0.5000, 0.0000)
Rh (0.5000, 0.5000, 0.5000)

# 8
Computed powder X-ray diffraction pattern of Dy12RhAu6 for λ = 1.5418 Å (Cu Kα), from a cell relaxed with GGA-PBE.

Peak list (10 most intense, 10 to 80 degrees two-theta, most intense first)
36.8°, rel. 100
37.7°, rel. 98
22.7°, rel. 87
33.0°, rel. 59
30.7°, rel. 36
53.7°, rel. 23
22.1°, rel. 21
38.8°, rel. 20
68.8°, rel. 20
48.7°, rel. 18

Atomic structure:
Cell lengths 8.3352, 8.3352, 8.3352 Å; angles 98.58, 98.58, 98.58 degrees
Sites, in units of the cell vectors:
Dy (0.0389, 0.9320, 0.6817)
Dy (0.0680, 0.3183, 0.9611)
Dy (0.1827, 0.5780, 0.4271)
Dy (0.3183, 0.9611, 0.0680)
Dy (0.4220, 0.5729, 0.8173)
Dy (0.4271, 0.1827, 0.5780)
Dy (0.5729, 0.8173, 0.4220)
Dy (0.5780, 0.4271, 0.1827)
Dy (0.6817, 0.0389, 0.9320)
Dy (0.8173, 0.4220, 0.5729)
Dy (0.9320, 0.6817, 0.0389)
Dy (0.9611, 0.0680, 0.3183)
Rh (0.0000, 0.0000, 0.0000)
Au (0.1316, 0.3044, 0.6232)
Au (0.3044, 0.6232, 0.1316)
Au (0.3768, 0.8684, 0.6956)
Au (0.6232, 0.1316, 0.3044)
Au (0.6956, 0.3768, 0.8684)
Au (0.8684, 0.6956, 0.3768)

# 9
Computed powder X-ray diffraction pattern of BeCuReMo2 for λ = 1.5418 Å (Cu Kα), from a cell relaxed with GGA-PBE.

Peak list (10 most intense, 10 to 80 degrees two-theta, most intense first)
38.1°, rel. 100
42.4°, rel. 39
74.7°, rel. 27
65.7°, rel. 21
47.7°, rel. 17
20.8°, rel. 13
61.5°, rel. 13
31.5°, rel. 12
53.8°, rel. 6
69.8°, rel. 3

Atomic structure:
Cell lengths 4.2627, 4.2627, 3.8105 Å; angles 90.00, 90.00, 90.00 degrees
Sites, in units of the cell vectors:
Be (0.0000, 0.0000, 0.0000)
Cu (0.0000, 0.0000, 0.5000)
Re (0.5000, 0.5000, 0.5000)
Mo (0.0000, 0.5000, 0.0000)
Mo (0.5000, 0.0000, 0.0000)